Simulated X-ray diffraction stick pattern
Compound: Li10Fe5Co3O16
Radiation: copper Kα
Structure: the GGA+U geometry in Alexandria

Structural model:
Cell: 5.8388 5.9069 9.6184 Å, 88.48 89.72 60.54°
Space group P1 (No. 1)
One atom of each set of equivalent atoms:
Li 0.0000 0.0000 0.0000 (multiplicity 1)
Li 0.0051 0.9819 0.5042 (multiplicity 1)
Li 0.1931 0.6112 0.4325 (multiplicity 1)
Li 0.2001 0.1861 0.4344 (multiplicity 1)
Li 0.3317 0.3341 0.2063 (multiplicity 1)
Li 0.3927 0.8082 0.9338 (multiplicity 1)
Li 0.6135 0.1970 0.4305 (multiplicity 1)
Li 0.6696 0.6590 0.7076 (multiplicity 1)
Li 0.8021 0.4011 0.9416 (multiplicity 1)
Li 0.8200 0.8007 0.9306 (multiplicity 1)
Fe 0.1776 0.6453 0.7001 (multiplicity 1)
Fe 0.3416 0.8266 0.1994 (multiplicity 1)
Fe 0.3434 0.3209 0.9553 (multiplicity 1)
Fe 0.6688 0.6511 0.4554 (multiplicity 1)
Fe 0.8335 0.8252 0.2006 (multiplicity 1)
Co 0.1705 0.1583 0.7007 (multiplicity 1)
Co 0.6672 0.1590 0.6986 (multiplicity 1)
Co 0.8333 0.3305 0.2007 (multiplicity 1)
O 0.0127 0.9744 0.3083 (multiplicity 1)
O 0.0326 0.4846 0.8300 (multiplicity 1)
O 0.1657 0.6686 0.0826 (multiplicity 1)
O 0.1816 0.1514 0.0716 (multiplicity 1)
O 0.3427 0.8072 0.5744 (multiplicity 1)
O 0.3481 0.3284 0.5884 (multiplicity 1)
O 0.4877 0.4910 0.8290 (multiplicity 1)
O 0.5020 0.5196 0.3253 (multiplicity 1)
O 0.5047 0.0205 0.8253 (multiplicity 1)
O 0.5178 0.9659 0.3227 (multiplicity 1)
O 0.6623 0.6794 0.0876 (multiplicity 1)
O 0.6689 0.1561 0.0750 (multiplicity 1)
O 0.8283 0.3142 0.5721 (multiplicity 1)
O 0.8474 0.8009 0.5770 (multiplicity 1)
O 0.9759 0.5143 0.3292 (multiplicity 1)
O 0.9976 0.9730 0.8040 (multiplicity 1)

Peak list (8 most intense, 2θ from 10° to 90°, in order of rising 2θ)
(hkl)  d_spacing  I/Imax
0 0 2  4.807  100
0 1 1  4.587  40
1 1 1  4.516  72
1 0 1  4.480  61
-1 1 2  2.544  44
0 2 1  2.500  55
0 2 -1  2.464  60
0 2 -3  1.981  63